[1]
K2CdAsBr6: computed powder X-ray diffraction pattern (Cu Kα (weighted mean of Kα1 and Kα2)), based on a crystal structure in Alexandria, relaxed with PBE.
No peak broadening, texture or thermal motion is included.

Cell and atoms:
a = 7.679 Å, b = 7.782 Å, c = 7.802 Å
α = 60.25°, β = 60.90°, γ = 60.69°
Atoms (fractional coordinates):
1 K 0.000 0.000 0.000
2 K 0.493 0.458 0.544
3 Cd 0.744 0.729 0.773
4 As 0.244 0.229 0.273
5 Br 0.046 0.540 0.991
6 Br 0.442 0.920 0.553
7 Br 0.494 0.006 0.993
8 Br 0.531 0.420 0.106
9 Br 0.957 0.039 0.439
10 Br 0.993 0.454 0.551

Largest 12 diffraction maxima, low angle first, 15° ≤ 2θ ≤ 90°:
- d 5.565, I 58
- d 5.480, I 83
- d 3.337, I 25
- d 3.322, I 23
- d 3.287, I 33
- d 3.170, I 23
- d 2.783, I 81
- d 2.740, I 100
- d 2.469, I 34
- d 2.433, I 28
- d 1.961, I 21
- d 1.953, I 30

[2]
CdMoAs2Br: computed powder X-ray diffraction pattern (Cu Kα (weighted mean of Kα1 and Kα2)), based on a crystal structure in Alexandria, relaxed with PBE.
No peak broadening, texture or thermal motion is included.

Cell and atoms:
a = 4.851 Å, b = 4.851 Å, c = 5.480 Å
α = 90.00°, β = 90.00°, γ = 90.00°
Atoms (fractional coordinates):
1 Cd 0.000 0.000 0.000
2 Mo 0.500 0.500 0.500
3 As 0.000 0.500 0.500
4 As 0.500 0.000 0.500
5 Br 0.500 0.500 0.000

Largest 12 diffraction maxima, low angle first, 15° ≤ 2θ ≤ 90°:
- d 3.632, I 47
- d 3.430, I 24
- d 2.907, I 100
- d 2.740, I 67
- d 2.425, I 94
- d 2.017, I 18
- d 1.816, I 77
- d 1.715, I 32
- d 1.612, I 17
- d 1.477, I 25
- d 1.454, I 36
- d 1.193, I 19

[3]
Ce5As4Br: computed powder X-ray diffraction pattern (Cu Kα (weighted mean of Kα1 and Kα2)), based on a crystal structure in Alexandria, relaxed with PBE.
No peak broadening, texture or thermal motion is included.

Cell and atoms:
a = 15.221 Å, b = 15.221 Å, c = 15.221 Å
α = 164.06°, β = 164.06°, γ = 22.61°
Atoms (fractional coordinates):
1 Ce 0.000 0.000 0.000
2 Ce 0.200 0.200 0.000
3 Ce 0.398 0.398 0.000
4 Ce 0.602 0.602 0.000
5 Ce 0.800 0.800 0.000
6 As 0.099 0.099 0.000
7 As 0.300 0.300 0.000
8 As 0.700 0.700 0.000
9 As 0.901 0.901 0.000
10 Br 0.500 0.500 0.000

Largest 10 diffraction maxima, low angle first, 15° ≤ 2θ ≤ 90°:
- d 3.446, I 15
- d 2.985, I 100
- d 2.110, I 75
- d 1.800, I 7
- d 1.723, I 26
- d 1.492, I 12
- d 1.369, I 3
- d 1.335, I 33
- d 1.218, I 25
- d 1.149, I 2

[4]
Ce3As2Br2: computed powder X-ray diffraction pattern (Cu Kα (weighted mean of Kα1 and Kα2)), based on a crystal structure in Alexandria, relaxed with PBE.
No peak broadening, texture or thermal motion is included.

Cell and atoms:
a = 14.061 Å, b = 4.200 Å, c = 7.540 Å
α = 90.00°, β = 99.99°, γ = 90.00°
Atoms (fractional coordinates):
1 Ce 0.000 0.000 0.000
2 Ce 0.243 0.000 0.768
3 Ce 0.257 0.500 0.232
4 Ce 0.500 0.500 0.000
5 Ce 0.743 0.500 0.768
6 Ce 0.757 0.000 0.232
7 As 0.124 0.500 0.885
8 As 0.376 0.000 0.115
9 As 0.624 0.000 0.885
10 As 0.876 0.500 0.115
11 Br 0.127 0.000 0.377
12 Br 0.373 0.500 0.623
13 Br 0.627 0.500 0.377
14 Br 0.873 0.000 0.623

Largest 12 diffraction maxima, low angle first, 15° ≤ 2θ ≤ 90°:
- d 4.019, I 10
- d 3.059, I 54
- d 2.993, I 100
- d 2.157, I 38
- d 2.133, I 18
- d 2.122, I 38
- d 2.100, I 20
- d 1.769, I 9
- d 1.731, I 30
- d 1.496, I 11
- d 1.353, I 16
- d 1.223, I 12

[5]
CeAsBrO4: computed powder X-ray diffraction pattern (Cu Kα (weighted mean of Kα1 and Kα2)), based on a crystal structure in Alexandria, relaxed with PBE.
No peak broadening, texture or thermal motion is included.

Cell and atoms:
a = 6.309 Å, b = 6.309 Å, c = 6.847 Å
α = 102.66°, β = 102.66°, γ = 68.77°
Atoms (fractional coordinates):
1 Ce 0.244 0.244 0.146
2 Ce 0.756 0.756 0.854
3 As 0.365 0.365 0.734
4 As 0.635 0.635 0.266
5 Br 0.017 0.017 0.761
6 Br 0.983 0.983 0.239
7 O 0.123 0.491 0.854
8 O 0.290 0.290 0.480
9 O 0.467 0.467 0.220
10 O 0.491 0.123 0.854
11 O 0.509 0.877 0.146
12 O 0.533 0.533 0.780
13 O 0.710 0.710 0.520
14 O 0.877 0.509 0.146

Largest 12 diffraction maxima, low angle first, 15° ≤ 2θ ≤ 90°:
- d 5.020, I 17
- d 3.564, I 100
- d 3.301, I 28
- d 3.081, I 14
- d 3.045, I 37
- d 3.029, I 21
- d 2.697, I 18
- d 2.559, I 37
- d 2.532, I 15
- d 2.421, I 21
- d 1.941, I 15
- d 1.795, I 14

[6]
AsBr3Cl: computed powder X-ray diffraction pattern (Cu Kα (weighted mean of Kα1 and Kα2)), based on a crystal structure in Alexandria, relaxed with PBE.
No peak broadening, texture or thermal motion is included.

Cell and atoms:
a = 6.825 Å, b = 7.007 Å, c = 10.368 Å
α = 89.71°, β = 89.97°, γ = 89.95°
Atoms (fractional coordinates):
1 As 0.000 0.000 0.000
2 As 0.500 0.241 0.499
3 Br 0.015 0.347 0.999
4 Br 0.350 0.368 0.306
5 Br 0.350 0.368 0.691
6 Br 0.515 0.894 0.501
7 Br 0.849 0.874 0.808
8 Br 0.850 0.873 0.193
9 Cl 0.305 0.894 0.000
10 Cl 0.806 0.346 0.499

Largest 12 diffraction maxima, low angle first, 15° ≤ 2θ ≤ 90°:
- d 5.806, I 15
- d 5.701, I 100
- d 4.889, I 30
- d 4.422, I 15
- d 3.559, I 43
- d 3.504, I 36
- d 3.413, I 15
- d 3.088, I 16
- d 2.942, I 17
- d 2.850, I 22
- d 1.984, I 15
- d 1.900, I 21

[7]
Tl2AsBr2Cl4: computed powder X-ray diffraction pattern (Cu Kα (weighted mean of Kα1 and Kα2)), based on a crystal structure in Alexandria, relaxed with PBE.
No peak broadening, texture or thermal motion is included.

Cell and atoms:
a = 7.213 Å, b = 7.213 Å, c = 7.213 Å
α = 119.95°, β = 119.95°, γ = 90.09°
Atoms (fractional coordinates):
1 Tl 0.250 0.750 0.500
2 Tl 0.750 0.250 0.500
3 As 0.000 0.000 0.000
4 Br 0.252 0.252 0.000
5 Br 0.748 0.748 0.000
6 Cl 0.236 0.236 0.472
7 Cl 0.236 0.764 0.000
8 Cl 0.764 0.236 0.000
9 Cl 0.764 0.764 0.528

Largest 12 diffraction maxima, low angle first, 15° ≤ 2θ ≤ 90°:
- d 5.098, I 36
- d 3.608, I 92
- d 2.945, I 100
- d 2.551, I 78
- d 2.282, I 22
- d 2.082, I 43
- d 1.804, I 54
- d 1.614, I 21
- d 1.538, I 40
- d 1.473, I 18
- d 1.363, I 23
- d 1.170, I 16

[8]
FeCoAsBr2: computed powder X-ray diffraction pattern (Cu Kα (weighted mean of Kα1 and Kα2)), based on a crystal structure in Alexandria, relaxed with PBE.
No peak broadening, texture or thermal motion is included.

Cell and atoms:
a = 5.003 Å, b = 5.003 Å, c = 4.446 Å
α = 90.00°, β = 90.00°, γ = 90.00°
Atoms (fractional coordinates):
1 Fe 0.000 0.000 0.000
2 Co 0.500 0.500 0.500
3 As 0.500 0.500 0.000
4 Br 0.000 0.500 0.500
5 Br 0.500 0.000 0.500

Largest 12 diffraction maxima, low angle first, 15° ≤ 2θ ≤ 90°:
- d 5.003, I 25
- d 4.446, I 12
- d 2.768, I 100
- d 2.502, I 87
- d 2.223, I 31
- d 1.769, I 29
- d 1.662, I 48
- d 1.491, I 29
- d 1.384, I 25
- d 1.367, I 11
- d 1.251, I 9
- d 1.119, I 13

[9]
ZnCoAsBr: computed powder X-ray diffraction pattern (Cu Kα (weighted mean of Kα1 and Kα2)), based on a crystal structure in Alexandria, relaxed with PBE.
No peak broadening, texture or thermal motion is included.

Cell and atoms:
a = 2.972 Å, b = 3.245 Å, c = 8.148 Å
α = 90.00°, β = 100.28°, γ = 90.00°
Atoms (fractional coordinates):
1 Zn 0.000 0.000 0.000
2 Co 0.402 0.500 0.801
3 As 0.837 0.000 0.668
4 Br 0.119 0.500 0.246

Largest 12 diffraction maxima, low angle first, 15° ≤ 2θ ≤ 90°:
- d 4.009, I 38
- d 3.008, I 27
- d 2.923, I 44
- d 2.522, I 73
- d 2.172, I 100
- d 2.063, I 49
- d 2.028, I 31
- d 1.818, I 25
- d 1.811, I 43
- d 1.807, I 19
- d 1.623, I 21
- d 1.208, I 21

[10]
ZnCoAsBr: computed powder X-ray diffraction pattern (Cu Kα (weighted mean of Kα1 and Kα2)), based on a crystal structure in Alexandria, relaxed with PBE.
No peak broadening, texture or thermal motion is included.

Cell and atoms:
a = 3.767 Å, b = 3.767 Å, c = 19.455 Å
α = 90.00°, β = 90.00°, γ = 120.00°
Atoms (fractional coordinates):
1 Zn 0.000 0.000 0.000
2 Zn 0.333 0.667 0.667
3 Zn 0.667 0.333 0.333
4 Co 0.000 0.000 0.125
5 Co 0.333 0.667 0.791
6 Co 0.667 0.333 0.458
7 As 0.000 0.000 0.754
8 As 0.333 0.667 0.421
9 As 0.667 0.333 0.087
10 Br 0.000 0.000 0.251
11 Br 0.333 0.667 0.917
12 Br 0.667 0.333 0.584

Largest 12 diffraction maxima, low angle first, 15° ≤ 2θ ≤ 90°:
- d 3.243, I 23
- d 3.218, I 81
- d 3.093, I 50
- d 2.709, I 89
- d 2.116, I 20
- d 1.950, I 100
- d 1.884, I 90
- d 1.629, I 17
- d 1.547, I 16
- d 1.355, I 29
- d 1.139, I 16
- d 1.100, I 30

[11]
CrAs2Br: computed powder X-ray diffraction pattern (Cu Kα (weighted mean of Kα1 and Kα2)), based on a crystal structure in Alexandria, relaxed with PBE.
No peak broadening, texture or thermal motion is included.

Cell and atoms:
a = 4.735 Å, b = 4.426 Å, c = 4.748 Å
α = 90.00°, β = 117.35°, γ = 90.00°
Atoms (fractional coordinates):
1 Cr 0.000 0.000 0.000
2 As 0.169 0.500 0.832
3 As 0.831 0.500 0.168
4 Br 0.500 0.000 0.500

Largest 12 diffraction maxima, low angle first, 15° ≤ 2θ ≤ 90°:
- d 3.051, I 48
- d 2.988, I 100
- d 2.465, I 52
- d 2.371, I 19
- d 2.365, I 18
- d 2.213, I 38
- d 2.088, I 24
- d 1.904, I 26
- d 1.899, I 26
- d 1.842, I 21
- d 1.647, I 29
- d 1.617, I 23

[12]
CrAsHBr2: computed powder X-ray diffraction pattern (Cu Kα (weighted mean of Kα1 and Kα2)), based on a crystal structure in Alexandria, relaxed with PBE.
No peak broadening, texture or thermal motion is included.

Cell and atoms:
a = 5.134 Å, b = 5.134 Å, c = 4.816 Å
α = 90.00°, β = 90.00°, γ = 90.00°
Atoms (fractional coordinates):
1 Cr 0.000 0.000 0.000
2 As 0.000 0.000 0.500
3 H 0.500 0.500 0.500
4 Br 0.000 0.500 0.000
5 Br 0.500 0.000 0.000

Largest 12 diffraction maxima, low angle first, 15° ≤ 2θ ≤ 90°:
- d 5.134, I 100
- d 4.816, I 50
- d 2.899, I 99
- d 2.567, I 87
- d 2.408, I 36
- d 2.296, I 24
- d 2.265, I 26
- d 2.180, I 21
- d 1.815, I 30
- d 1.756, I 53
- d 1.538, I 29
- d 1.449, I 28

What did the twelfth record say?
CrAsHBr2: computed powder X-ray diffraction pattern (Cu Kα (weighted mean of Kα1 and Kα2)), based on a crystal structure in Alexandria, relaxed with PBE.
No peak broadening, texture or thermal motion is included.

Cell and atoms:
a = 5.134 Å, b = 5.134 Å, c = 4.816 Å
α = 90.00°, β = 90.00°, γ = 90.00°
Atoms (fractional coordinates):
1 Cr 0.000 0.000 0.000
2 As 0.000 0.000 0.500
3 H 0.500 0.500 0.500
4 Br 0.000 0.500 0.000
5 Br 0.500 0.000 0.000

Largest 12 diffraction maxima, low angle first, 15° ≤ 2θ ≤ 90°:
- d 5.134, I 100
- d 4.816, I 50
- d 2.899, I 99
- d 2.567, I 87
- d 2.408, I 36
- d 2.296, I 24
- d 2.265, I 26
- d 2.180, I 21
- d 1.815, I 30
- d 1.756, I 53
- d 1.538, I 29
- d 1.449, I 28